# 1
# CrPbN2
Computed powder diffractogram, Cu Kα X-rays. Input: a GGA-PBE-relaxed structure.
Intensities are scaled so that the largest is 100.

Main lines, low angle first (10 to 90 degrees two-theta):
- 2θ 26.26, rel. 29.7
- 2θ 27.33, rel. 18.7
- 2θ 30.73, rel. 100.0
- 2θ 35.08, rel. 38.5
- 2θ 45.03, rel. 14.6
- 2θ 50.45, rel. 16.2
- 2θ 51.69, rel. 17.7
- 2θ 53.19, rel. 17.5
- 2θ 60.25, rel. 29.5
- 2θ 76.36, rel. 11.9

Structural model:
```
CrPbN2
1.0
3.6177 0.0000 0.0000
0.0000 3.6177 0.0000
0.0000 0.0000 9.7904
Cr Pb N
2 2 4
direct
0.2500 0.2500 0.0703
0.7500 0.7500 0.9297
0.2500 0.2500 0.6312
0.7500 0.7500 0.3688
0.2500 0.2500 0.2387
0.2500 0.7500 0.0000
0.7500 0.2500 0.0000
0.7500 0.7500 0.7613
```

***

# 2
# Cr2Pb3N4
Computed powder diffractogram, Cu Kα X-rays. Input: a GGA-PBE-relaxed structure.
Intensities are scaled so that the largest is 100.

Main lines, low angle first (10 to 90 degrees two-theta):
- 2θ 15.06, rel. 56.7
- 2θ 24.84, rel. 31.5
- 2θ 27.52, rel. 84.2
- 2θ 30.21, rel. 100.0
- 2θ 30.53, rel. 60.1
- 2θ 30.67, rel. 23.4
- 2θ 32.16, rel. 54.1
- 2θ 34.02, rel. 22.0
- 2θ 39.55, rel. 65.7
- 2θ 41.21, rel. 20.9

Structural model:
```
Cr2Pb3N4
1.0
5.9319 -4.5376 0.0000
5.9319 4.5376 0.0000
-0.7580 0.0000 5.8429
Cr Pb N
4 6 8
direct
0.1201 0.3447 0.4855
0.3447 0.1201 0.9855
0.6553 0.8799 0.0145
0.8799 0.6553 0.5145
0.0654 0.9346 0.2500
0.2731 0.5623 0.9578
0.4377 0.7269 0.5422
0.5623 0.2731 0.4578
0.7269 0.4377 0.0422
0.9346 0.0654 0.7500
0.1373 0.5854 0.5513
0.2226 0.2268 0.2319
0.2268 0.2226 0.7319
0.4146 0.8627 0.9487
0.5854 0.1373 0.0513
0.7732 0.7774 0.2681
0.7774 0.7732 0.7681
0.8627 0.4146 0.4487
```

***

# 3
# Cr2Pb3N4
Computed powder diffractogram, Cu Kα X-rays. Input: a GGA-PBE-relaxed structure.
Intensities are scaled so that the largest is 100.

Main lines, low angle first (10 to 90 degrees two-theta):
- 2θ 18.52, rel. 25.5
- 2θ 28.16, rel. 40.7
- 2θ 28.55, rel. 100.0
- 2θ 29.25, rel. 23.5
- 2θ 29.72, rel. 35.9
- 2θ 31.26, rel. 71.9
- 2θ 32.56, rel. 43.8
- 2θ 33.67, rel. 55.1
- 2θ 35.68, rel. 54.4
- 2θ 49.14, rel. 23.1

Structural model:
```
Cr2Pb3N4
1.0
6.6865 0.0000 0.0000
0.0000 9.9327 0.0000
0.0000 0.0000 9.4991
Cr Pb N
8 12 16
direct
0.2393 0.2500 0.2500
0.2500 0.0000 0.2112
0.2500 0.5000 0.2888
0.2607 0.7500 0.2500
0.7393 0.2500 0.7500
0.7500 0.0000 0.7888
0.7500 0.5000 0.7112
0.7607 0.7500 0.7500
0.0996 0.1623 0.5694
0.0996 0.3377 0.9306
0.2500 0.0000 0.8932
0.2500 0.5000 0.6068
0.4004 0.6623 0.9306
0.4004 0.8377 0.5694
0.5996 0.1623 0.4306
0.5996 0.3377 0.0694
0.7500 0.0000 0.1068
0.7500 0.5000 0.3932
0.9004 0.6623 0.0694
0.9004 0.8377 0.4306
0.0907 0.1089 0.3163
0.0907 0.3911 0.1837
0.1113 0.6425 0.3747
0.1113 0.8575 0.1253
0.3887 0.1425 0.1253
0.3887 0.3575 0.3747
0.4093 0.6089 0.1837
0.4093 0.8911 0.3163
0.5907 0.1089 0.6837
0.5907 0.3911 0.8163
0.6113 0.6425 0.6253
0.6113 0.8575 0.8747
0.8887 0.1425 0.8747
0.8887 0.3575 0.6253
0.9093 0.6089 0.8163
0.9093 0.8911 0.6837
```

***

# 4
# Cr3Pb3N5
Computed powder diffractogram, Cu Kα X-rays. Input: a GGA-PBE-relaxed structure.
Intensities are scaled so that the largest is 100.

Main lines, low angle first (10 to 90 degrees two-theta):
- 2θ 15.74, rel. 42.9
- 2θ 28.64, rel. 24.2
- 2θ 28.78, rel. 75.7
- 2θ 30.00, rel. 100.0
- 2θ 31.54, rel. 27.6
- 2θ 32.74, rel. 78.4
- 2θ 33.11, rel. 54.4
- 2θ 34.26, rel. 71.1
- 2θ 36.19, rel. 47.2
- 2θ 38.02, rel. 42.5

Structural model:
```
Cr3Pb3N5
1.0
5.7862 0.0000 0.0000
-0.9064 7.4286 0.0000
-1.3449 -2.2449 7.9965
Cr Pb N
6 6 10
direct
0.0663 0.1769 0.0271
0.0868 0.4279 0.7222
0.3144 0.5010 0.3971
0.6856 0.4990 0.6029
0.9132 0.5721 0.2778
0.9337 0.8231 0.9729
0.2400 0.0528 0.4597
0.3815 0.8299 0.7719
0.4315 0.6970 0.1341
0.5685 0.3030 0.8659
0.6185 0.1701 0.2281
0.7600 0.9472 0.5403
0.0677 0.3571 0.2247
0.1177 0.3084 0.8806
0.1742 0.7042 0.4288
0.2242 0.9745 0.0339
0.3494 0.4492 0.6057
0.6506 0.5508 0.3943
0.7758 0.0255 0.9661
0.8258 0.2958 0.5712
0.8823 0.6916 0.1194
0.9323 0.6429 0.7753
```

***

# 5
# Cr3PtN
Computed powder diffractogram, Cu Kα X-rays. Input: a GGA-PBE-relaxed structure.
Intensities are scaled so that the largest is 100.

Main lines, low angle first (10 to 90 degrees two-theta):
- 2θ 23.16, rel. 40.5
- 2θ 32.98, rel. 52.8
- 2θ 40.69, rel. 100.0
- 2θ 47.34, rel. 55.0
- 2θ 53.34, rel. 20.6
- 2θ 58.91, rel. 21.0
- 2θ 69.19, rel. 33.2
- 2θ 74.06, rel. 10.6
- 2θ 83.48, rel. 35.3
- 2θ 88.11, rel. 11.6

Structural model:
```
Cr3PtN
1.0
3.8404 0.0000 0.0000
0.0000 3.8404 0.0000
0.0000 0.0000 3.8404
Cr Pt N
3 1 1
direct
0.0000 0.0000 0.5000
0.0000 0.5000 0.0000
0.5000 0.0000 0.0000
0.5000 0.5000 0.5000
0.0000 0.0000 0.0000
```

***

# 6
# RbCrN2
Computed powder diffractogram, Cu Kα X-rays. Input: a GGA-PBE-relaxed structure.
Intensities are scaled so that the largest is 100.

Main lines, low angle first (10 to 90 degrees two-theta):
- 2θ 31.02, rel. 100.0
- 2θ 36.55, rel. 8.5
- 2θ 38.23, rel. 1.3
- 2θ 44.44, rel. 11.9
- 2θ 55.18, rel. 35.8
- 2θ 58.84, rel. 2.7
- 2θ 64.66, rel. 14.3
- 2θ 73.44, rel. 14.7
- 2θ 76.62, rel. 0.9
- 2θ 81.84, rel. 2.7

Structural model:
```
RbCrN2
1.0
8.1548 0.0000 0.0000
0.0000 5.7659 0.0000
0.0000 0.0000 11.5318
Rb Cr N
8 8 16
direct
0.1250 0.2387 0.2500
0.1250 0.2613 0.7500
0.3748 0.2500 0.0000
0.3748 0.2500 0.5000
0.6252 0.7500 0.0000
0.6252 0.7500 0.5000
0.8750 0.7387 0.2500
0.8750 0.7613 0.7500
0.1251 0.7500 0.0000
0.1251 0.7500 0.5000
0.3751 0.7417 0.2500
0.3751 0.7583 0.7500
0.6249 0.2417 0.2500
0.6249 0.2583 0.7500
0.8749 0.2500 0.0000
0.8749 0.2500 0.5000
0.0000 0.0000 0.0000
0.0000 0.0000 0.5000
0.0000 0.5000 0.0000
0.0000 0.5000 0.5000
0.2502 0.7482 0.1250
0.2502 0.7482 0.3750
0.2502 0.7518 0.6250
0.2502 0.7518 0.8750
0.4939 0.0146 0.7500
0.4939 0.4854 0.2500
0.5061 0.5146 0.7500
0.5061 0.9854 0.2500
0.7498 0.2482 0.1250
0.7498 0.2482 0.3750
0.7498 0.2518 0.6250
0.7498 0.2518 0.8750
```

***

# 7
# Cr3RhN
Computed powder diffractogram, Cu Kα X-rays. Input: a GGA-PBE-relaxed structure.
Intensities are scaled so that the largest is 100.

Main lines, low angle first (10 to 90 degrees two-theta):
- 2θ 23.29, rel. 6.8
- 2θ 33.17, rel. 18.1
- 2θ 40.93, rel. 100.0
- 2θ 47.62, rel. 56.7
- 2θ 53.66, rel. 4.0
- 2θ 59.26, rel. 6.7
- 2θ 69.63, rel. 32.8
- 2θ 79.33, rel. 2.9
- 2θ 84.05, rel. 32.8
- 2θ 88.73, rel. 11.2

Structural model:
```
Cr3RhN
1.0
3.8194 0.0000 0.0000
0.0000 3.8194 0.0000
0.0000 0.0000 3.8194
Cr Rh N
3 1 1
direct
0.0000 0.0000 0.5000
0.0000 0.5000 0.0000
0.5000 0.0000 0.0000
0.5000 0.5000 0.5000
0.0000 0.0000 0.0000
```

***

# 8
# Sc2CrN3
Computed powder diffractogram, Cu Kα X-rays. Input: a GGA-PBE-relaxed structure.
Intensities are scaled so that the largest is 100.

Main lines, low angle first (10 to 90 degrees two-theta):
- 2θ 33.73, rel. 59.2
- 2θ 36.89, rel. 74.5
- 2θ 38.42, rel. 100.0
- 2θ 45.90, rel. 38.2
- 2θ 50.89, rel. 26.8
- 2θ 59.79, rel. 15.3
- 2θ 61.36, rel. 36.8
- 2θ 64.50, rel. 25.4
- 2θ 70.44, rel. 13.4
- 2θ 70.94, rel. 14.9

Structural model:
```
Sc2CrN3
1.0
-1.5467 1.7942 5.9303
1.5467 -1.7942 5.9303
1.5467 1.7942 -5.9303
Sc Cr N
2 1 3
direct
0.1534 0.1534 0.0000
0.8466 0.8466 0.0000
0.5000 0.5000 0.0000
0.0000 0.5000 0.5000
0.3338 0.3338 0.0000
0.6662 0.6662 0.0000
```